Record 1
For LiMg6GaO8, a DFT-relaxed cell (PBE, the Materials Project) gives the simulated PXRD pattern in this record (Cu Kα, 1.54184 Å).
Lines closer than 0.1° are merged.

The 8 most intense peaks (10 to 90 degrees two-theta), in order of rising 2θ:
two_theta	d_spacing	I/Imax
21.10	4.210	24
23.57	3.774	41
36.84	2.440	25
42.47	2.129	51
42.97	2.105	100
62.00	1.497	57
62.39	1.488	28
78.40	1.220	26

Structure:
Unit cell a=4.2100 b=4.2100 c=8.5145 alpha=90.00 beta=90.00 gamma=90.00
Space group P4/mmm (No. 123)
Symmetry-distinct sites (fractional):
1 Li 0.0000 0.0000 0.0000
2 Mg 0.0000 0.0000 0.5000
3 Mg 0.0000 0.5000 0.2458
4 Mg 0.5000 0.5000 0.5000
5 Ga 0.5000 0.5000 0.0000
6 O 0.0000 0.0000 0.2570
7 O 0.0000 0.5000 0.0000
8 O 0.0000 0.5000 0.5000
9 O 0.5000 0.5000 0.2377

---

Record 2
For LiMg14GaO16, a DFT-relaxed cell (PBE, the Materials Project) gives the simulated PXRD pattern in this record (Cu Kα, 1.54184 Å).
Lines closer than 0.1° are merged.

The 8 most intense peaks (10 to 90 degrees two-theta), in order of rising 2θ:
two_theta	d_spacing	I/Imax
10.41	8.497	11
14.74	6.009	10
23.40	3.801	8
36.63	2.453	13
42.55	2.125	100
61.75	1.502	56
73.98	1.281	9
77.87	1.227	17

Structure:
Unit cell a=4.2496 b=8.4958 c=8.5009 alpha=90.00 beta=90.00 gamma=90.00
Space group Pmmm (No. 47)
Symmetry-distinct sites (fractional):
1 Li 0.0000 0.0000 0.0000
2 Mg 0.0000 0.0000 0.5000
3 Mg 0.0000 0.2438 0.2493
4 Mg 0.0000 0.5000 0.5000
5 Mg 0.5000 0.0000 0.2446
6 Mg 0.5000 0.2408 0.0000
7 Mg 0.5000 0.2476 0.5000
8 Mg 0.5000 0.5000 0.2516
9 Ga 0.0000 0.5000 0.0000
10 O 0.0000 0.0000 0.2552
11 O 0.0000 0.2539 0.5000
12 O 0.0000 0.2690 0.0000
13 O 0.0000 0.5000 0.2433
14 O 0.5000 0.0000 0.0000
15 O 0.5000 0.0000 0.5000
16 O 0.5000 0.2520 0.2494
17 O 0.5000 0.5000 0.0000
18 O 0.5000 0.5000 0.5000

---

Record 3
For Na3LiGa4Si8O24, a DFT-relaxed cell (PBE, the Materials Project) gives the simulated PXRD pattern in this record (Cu Kα, 1.54184 Å).
Lines closer than 0.1° are merged.

The 8 most intense peaks (10 to 90 degrees two-theta), in order of rising 2θ:
two_theta	d_spacing	I/Imax
13.93	6.356	64
19.88	4.466	31
29.74	3.004	100
30.85	2.899	53
35.20	2.550	32
35.43	2.534	37
36.51	2.461	38
41.13	2.195	23

Structure:
Unit cell a=5.3419 b=8.7819 c=9.4872 alpha=90.00 beta=103.84 gamma=90.00
Space group P2 (No. 3)
Symmetry-distinct sites (fractional):
1 Na 0.0000 0.0000 0.0000
2 Na 0.0000 0.0957 0.5000
3 Na 0.5000 0.5004 0.5000
4 Li 0.5000 0.5784 0.0000
5 Ga 0.0000 0.3996 0.0000
6 Ga 0.0000 0.6993 0.5000
7 Ga 0.5000 0.1983 0.0000
8 Ga 0.5000 0.8967 0.5000
9 Si 0.1944 0.3902 0.7093
10 Si 0.1977 0.7068 0.2067
11 Si 0.3046 0.8872 0.7925
12 Si 0.3070 0.2071 0.2905
13 O 0.0850 0.7898 0.8528
14 O 0.0880 0.3062 0.3501
15 O 0.1934 0.5568 0.6398
16 O 0.2053 0.5402 0.1363
17 O 0.2281 0.2196 0.1113
18 O 0.2283 0.8759 0.6130
19 O 0.2731 0.7187 0.3861
20 O 0.2757 0.3829 0.8889
21 O 0.3053 0.0563 0.8590
22 O 0.3060 0.0396 0.3590
23 O 0.4107 0.2904 0.6482
24 O 0.4152 0.8035 0.1446

---

Record 4
For LiNd2Ga, a DFT-relaxed cell (PBE, the Materials Project) gives the simulated PXRD pattern in this record (Cu Kα, 1.54184 Å).
Lines closer than 0.1° are merged.

The 8 most intense peaks (10 to 90 degrees two-theta), in order of rising 2θ:
two_theta	d_spacing	I/Imax
23.92	3.720	40
34.08	2.631	100
42.07	2.148	12
48.97	1.860	18
55.21	1.664	17
61.00	1.519	37
71.76	1.315	11
81.88	1.176	16

Structure:
Unit cell a=7.4408 b=7.4408 c=7.4408 alpha=90.00 beta=90.00 gamma=90.00
Space group Fm-3m (No. 225)
Symmetry-distinct sites (fractional):
1 Li 0.0000 0.0000 0.0000
2 Nd 0.2500 0.2500 0.2500
3 Ga 0.0000 0.0000 0.5000

---

Record 5
For Li2NdGa, a DFT-relaxed cell (PBE, the Materials Project) gives the simulated PXRD pattern in this record (Cu Kα, 1.54184 Å).
Lines closer than 0.1° are merged.

The 8 most intense peaks (10 to 90 degrees two-theta), in order of rising 2θ:
two_theta	d_spacing	I/Imax
22.68	3.921	22
26.24	3.396	100
37.45	2.401	95
46.31	1.961	29
54.01	1.698	16
61.01	1.519	37
67.57	1.386	33
85.85	1.132	18

Structure:
Unit cell a=6.7915 b=6.7915 c=6.7915 alpha=90.00 beta=90.00 gamma=90.00
Space group Fm-3m (No. 225)
Symmetry-distinct sites (fractional):
1 Li 0.2500 0.2500 0.2500
2 Nd 0.0000 0.0000 0.0000
3 Ga 0.0000 0.0000 0.5000

---

Record 6
For LiGaNi2, a DFT-relaxed cell (PBE, the Materials Project) gives the simulated PXRD pattern in this record (Cu Kα, 1.54184 Å).
Lines closer than 0.1° are merged.

The 8 most intense peaks (10 to 90 degrees two-theta), in order of rising 2θ:
two_theta	d_spacing	I/Imax
27.14	3.286	29
31.44	2.845	9
45.06	2.012	100
53.40	1.716	13
65.62	1.423	15
72.38	1.306	5
83.16	1.162	30
89.48	1.095	4

Structure:
Unit cell a=5.6909 b=5.6909 c=5.6909 alpha=90.00 beta=90.00 gamma=90.00
Space group Fm-3m (No. 225)
Symmetry-distinct sites (fractional):
1 Li 0.0000 0.0000 0.0000
2 Ga 0.0000 0.0000 0.5000
3 Ni 0.2500 0.2500 0.2500

---

Record 7
For Li5GaO2, a DFT-relaxed cell (PBE, the Materials Project) gives the simulated PXRD pattern in this record (Cu Kα, 1.54184 Å).
Lines closer than 0.1° are merged.

The 8 most intense peaks (10 to 90 degrees two-theta), in order of rising 2θ:
two_theta	d_spacing	I/Imax
12.45	7.109	100
17.64	5.027	95
25.05	3.554	23
27.00	3.302	34
28.07	3.179	69
29.84	2.995	32
41.42	2.180	22
42.50	2.127	21

Structure:
Unit cell a=7.1090 b=7.1090 c=8.9171 alpha=90.00 beta=90.00 gamma=90.00
Space group P4_122 (No. 91)
Symmetry-distinct sites (fractional):
1 Li 0.0000 0.0880 0.0000
2 Li 0.0000 0.3505 0.5000
3 Li 0.1414 0.2682 0.2126
4 Li 0.1879 0.5000 0.7500
5 Ga 0.4234 0.5000 0.2500
6 O 0.0862 0.2468 0.6783

---

Record 8
For LiGaSi2O6, a DFT-relaxed cell (PBE, the Materials Project) gives the simulated PXRD pattern in this record (Cu Kα, 1.54184 Å).
Lines closer than 0.1° are merged.

The 8 most intense peaks (10 to 90 degrees two-theta), in order of rising 2θ:
two_theta	d_spacing	I/Imax
14.07	6.293	74
19.80	4.484	41
20.39	4.355	27
25.35	3.513	38
29.61	3.017	100
31.22	2.865	62
35.99	2.496	32
37.34	2.408	27

Structure:
Unit cell a=9.7376 b=8.7101 c=5.3400 alpha=90.00 beta=110.82 gamma=90.00
Space group C2/c (No. 15)
Symmetry-distinct sites (fractional):
1 Li 0.0000 0.2415 0.2500
2 Ga 0.0000 0.3986 0.7500
3 Si 0.2035 0.0906 0.7376
4 O 0.1139 0.4156 0.1440
5 O 0.1325 0.2598 0.6715
6 O 0.1446 0.0005 0.4486